The following is a calculated powder diffraction line list of LiFe2P2HO8. It was derived from a structure optimized by DFT (PBE+U), using λ = 1.5418 Å (Cu Kα).

Cell and atoms:
```
LiFe2P2HO8
1.0
5.170 0.000 0.000
-2.403 8.140 0.000
-1.100 -0.964 8.644
Li Fe P H O
2 4 4 2 16
Direct
0.140 0.336 0.341
0.860 0.664 0.659
0.199 0.884 0.101
0.268 0.406 0.727
0.732 0.594 0.273
0.801 0.116 0.899
0.352 0.742 0.431
0.359 0.258 0.068
0.641 0.742 0.932
0.648 0.258 0.569
0.384 0.927 0.627
0.616 0.073 0.373
0.107 0.590 0.366
0.165 0.113 0.136
0.193 0.275 0.909
0.270 0.810 0.588
0.369 0.770 0.956
0.387 0.311 0.531
0.398 0.880 0.323
0.401 0.413 0.183
0.599 0.587 0.817
0.602 0.120 0.677
0.613 0.689 0.469
0.631 0.230 0.044
0.730 0.190 0.412
0.807 0.725 0.091
0.835 0.887 0.864
0.893 0.410 0.634
```

The 8 most intense peaks (2θ from 5° to 70°), low angle first:
two_theta	I/Imax
10.23	27
15.81	100
20.14	97
22.22	40
28.50	75
28.73	46
32.60	56
33.65	38